Diffraction record for AcZnAu2. The powder XRD pattern is simulated, not measured: it uses DFT lattice parameters and positions (GGA-PBE) and Cu Kα (λ = 1.5418 Å).

Crystal structure
Cell lengths 7.3186, 7.3186, 7.3186 Å; angles 90.00, 90.00, 90.00 degrees
Atoms (fractional coordinates):
Ac1 0.0000 0.0000 0.0000
Ac2 0.0000 0.5000 0.5000
Ac3 0.5000 0.0000 0.5000
Ac4 0.5000 0.5000 0.0000
Zn1 0.0000 0.0000 0.5000
Zn2 0.0000 0.5000 0.0000
Zn3 0.5000 0.0000 0.0000
Zn4 0.5000 0.5000 0.5000
Au1 0.2500 0.2500 0.2500
Au2 0.2500 0.2500 0.7500
Au3 0.2500 0.7500 0.2500
Au4 0.2500 0.7500 0.7500
Au5 0.7500 0.2500 0.2500
Au6 0.7500 0.2500 0.7500
Au7 0.7500 0.7500 0.2500
Au8 0.7500 0.7500 0.7500

The 10 most intense peaks (15° ≤ 2θ ≤ 90°), by intensity:
h k l, 2theta, d [Å], I (rel.)
2 2 0, 34.7, 2.588, 100.0
4 2 2, 62.1, 1.494, 37.7
4 0 0, 49.8, 1.830, 18.2
6 2 0, 83.6, 1.157, 16.9
4 4 0, 73.2, 1.294, 11.7
1 1 1, 21.0, 4.225, 10.5
3 1 1, 40.9, 2.207, 6.0
2 0 0, 24.3, 3.659, 2.7
3 3 1, 54.7, 1.679, 2.7
5 3 1, 77.1, 1.237, 2.1